Starting from a crystal structure in Alexandria, relaxed with PBE, the XRD peak list of Sc4TlAu was calculated for Cu Kα X-rays.
Peak positions follow from Bragg's law for the DFT cell and can differ from measured ones.

Structural model:
abc: 4.7278 4.7278 6.8693
angles: 90.00 90.00 90.00
Sites, in units of the cell vectors:
Sc (0.0000, 0.5000, 0.2332)
Sc (0.0000, 0.5000, 0.7668)
Sc (0.5000, 0.0000, 0.2332)
Sc (0.5000, 0.0000, 0.7668)
Tl (0.0000, 0.0000, 0.5000)
Au (0.5000, 0.5000, 0.0000)

Main lines, sorted by position (15 to 90 degrees two-theta):
2θ/deg	I (rel.)	index
22.8	100	1 0 1
37.5	59	1 1 2
38.1	29	2 0 0
43.9	18	1 0 3
44.9	35	2 1 1
68.4	20	3 1 2